# ZrSn2Se4
Simulated powder diffractogram, Cu Kα (λ = 1.5418 Å). Input: a crystal structure in Alexandria, relaxed with PBE.

The 8 most intense peaks (2θ = 10–80°), low angle first:
2θ/deg  I (rel.)  hkl
13.0  35  1 1 0
17.2  63  1 2 0
26.2  61  1 1 1
28.5  83  1 4 0
32.2  100  2 0 1
32.8  86  2 1 1
34.8  65  0 4 1
46.1  53  3 3 1

```
data_ZrSn2Se4
_cell_length_a 7.883
_cell_length_b 13.642
_cell_length_c 3.932
_cell_angle_alpha 90.00
_cell_angle_beta 90.00
_cell_angle_gamma 90.00
_space_group_name_H-M_alt 'P 1'
_space_group_IT_number 1
loop_
_space_group_symop_operation_xyz
'x,y,z'
loop_
_atom_site_label
_atom_site_fract_x
_atom_site_fract_y
_atom_site_fract_z
_atom_site_occupancy
Zr1 0.000 0.000 0.000 1
Zr2 0.500 0.500 0.000 1
Sn1 0.167 0.348 0.500 1
Sn2 0.333 0.848 0.500 1
Sn3 0.667 0.152 0.500 1
Sn4 0.833 0.652 0.500 1
Se1 0.097 0.808 0.000 1
Se2 0.230 0.043 0.500 1
Se3 0.270 0.543 0.500 1
Se4 0.403 0.308 0.000 1
Se5 0.597 0.692 0.000 1
Se6 0.730 0.457 0.500 1
Se7 0.770 0.957 0.500 1
Se8 0.903 0.192 0.000 1
```